Entry 1:
Calculated powder XRD pattern of ThMnPd6 for Cu Kα (λ = 1.5418 Å), from a PBE-relaxed structure.
Intensities are scaled so that the largest is 100.

Largest 12 diffraction maxima, low angle first, 10 to 90 degrees two-theta:
2theta	d (Å)	I_rel	hkl
11.14	7.940	8	0 0 1
24.26	3.669	10	1 0 1
32.62	2.745	8	1 1 1
33.87	2.647	3	0 0 3
38.22	2.355	100	1 1 2
43.77	2.068	34	2 0 0
45.70	1.985	14	0 0 4
63.62	1.463	11	2 2 0
65.13	1.432	20	2 0 4
76.70	1.242	25	3 1 2
79.49	1.206	11	1 1 6
81.80	1.177	10	2 2 4

Crystal structure
```
ThMnPd6
1.0
4.137 0.000 0.000
0.000 4.137 0.000
0.000 0.000 7.940
Th Mn Pd
1 1 6
direct
0.000 0.000 0.000
0.000 0.000 0.500
0.000 0.500 0.264
0.000 0.500 0.736
0.500 0.000 0.264
0.500 0.000 0.736
0.500 0.500 0.000
0.500 0.500 0.500
```



Entry 2:
Calculated powder XRD pattern of TiMnPd5 for Cu Kα (λ = 1.5418 Å), from a PBE-relaxed structure.
Intensities are scaled so that the largest is 100.

Largest 12 diffraction maxima, low angle first, 10 to 90 degrees two-theta:
2theta	d (Å)	I_rel	hkl
21.96	4.048	9	1 0 0
25.84	3.449	9	0 0 2
31.25	2.862	13	1 1 0
33.91	2.644	10	1 1 1
34.16	2.625	6	1 0 2
40.98	2.202	100	1 1 2
44.78	2.024	40	2 0 0
53.12	1.724	10	0 0 4
65.19	1.431	13	2 2 0
71.94	1.313	16	2 0 4
79.94	1.200	27	3 1 2
88.86	1.101	9	2 2 4

Crystal structure
```
TiMnPd5
1.0
4.048 0.000 0.000
0.000 4.048 0.000
0.000 0.000 6.897
Ti Mn Pd
1 1 5
direct
0.000 0.000 0.000
0.500 0.500 0.500
0.000 0.500 0.270
0.000 0.500 0.730
0.500 0.000 0.270
0.500 0.000 0.730
0.500 0.500 0.000
```